[1]
The following is a calculated powder diffractogram of LiCoO2. It was derived from a structure optimized by DFT (GGA+U), using Cu Kα X-rays.

Structure:
```
data_LiCoO2
_cell_length_a 2.8429
_cell_length_b 2.8429
_cell_length_c 14.1456
_cell_angle_alpha 90.00
_cell_angle_beta 90.00
_cell_angle_gamma 120.00
_space_group_name_H-M_alt 'R -3 m'
_space_group_IT_number 166
_space_group_name_Hall '-R 3 2"'
loop_
_atom_site_label
_atom_site_type_symbol
_atom_site_fract_x
_atom_site_fract_y
_atom_site_fract_z
Li1 Li 0.0000 0.0000 0.0000
Co1 Co 0.0000 0.0000 0.5000
O1 O 0.0000 0.0000 0.2396
```

Principal peaks in the range 10° ≤ 2θ ≤ 90°, by angle:
2theta	I (rel.)	(hkl)
18.82	100	0 0 3
37.06	38	1 0 1
38.73	14	0 1 2
44.86	68	1 0 4
49.05	12	0 1 5
59.15	14	1 0 7
64.93	18	0 1 8
65.69	19	1 1 0
69.01	14	1 1 3
83.07	9	0 2 4

[2]
The following is a calculated powder diffractogram of ZnCoF4. It was derived from a structure optimized by DFT (GGA+U), using Cu Kα X-rays.

Structure:
```
data_ZnCoF4
_cell_length_a 11.2839
_cell_length_b 5.0760
_cell_length_c 5.0995
_cell_angle_alpha 90.00
_cell_angle_beta 115.84
_cell_angle_gamma 90.00
_space_group_name_H-M_alt 'C 1 2/c 1'
_space_group_IT_number 15
_space_group_name_Hall '-C 2yc'
loop_
_atom_site_label
_atom_site_type_symbol
_atom_site_fract_x
_atom_site_fract_y
_atom_site_fract_z
Zn1 Zn 0.0000 0.2459 0.2500
Co1 Co 0.2500 0.2500 0.0000
F1 F 0.1221 0.4832 0.6537
F2 F 0.1276 0.0036 0.1078
```

Principal peaks in the range 10° ≤ 2θ ≤ 90°, by angle:
2theta	I (rel.)	(hkl)
30.27	94	1 1 1
30.64	100	3 1 -1
50.26	26	2 0 2
50.76	50	2 2 -2
50.87	51	4 2 0
51.23	24	6 0 -2
59.92	13	1 1 -3
60.36	14	1 3 1
60.57	23	5 1 -3
74.80	13	8 0 0

[3]
The following is a calculated powder diffractogram of MgMnV4O12. It was derived from a structure optimized by DFT (GGA+U), using Cu Kα X-rays.

Structure:
```
data_MgMnV4O12
_cell_length_a 6.0976
_cell_length_b 6.8830
_cell_length_c 7.0434
_cell_angle_alpha 80.70
_cell_angle_beta 73.48
_cell_angle_gamma 72.10
_space_group_name_H-M_alt 'P 1'
_space_group_IT_number 1
_space_group_name_Hall 'P 1'
loop_
_atom_site_label
_atom_site_type_symbol
_atom_site_fract_x
_atom_site_fract_y
_atom_site_fract_z
Mg1 Mg 0.0000 0.0000 0.0000
Mn1 Mn 0.4026 0.0513 0.0773
V1 V 0.3399 0.5242 0.2130
V2 V 0.3858 0.9015 0.6021
V3 V 0.8583 0.3356 0.3801
V4 V 0.8855 0.7124 0.7707
O1 O 0.0029 0.1648 0.1978
O2 O 0.0699 0.4782 0.3727
O3 O 0.1711 0.7595 0.6402
O4 O 0.2661 0.7711 0.1017
O5 O 0.2796 0.0632 0.7906
O6 O 0.4267 0.0256 0.3745
O7 O 0.4377 0.3510 0.0438
O8 O 0.5717 0.4917 0.3362
O9 O 0.6698 0.7422 0.6301
O10 O 0.7616 0.8899 0.9560
O11 O 0.8145 0.2039 0.5953
O12 O 0.9299 0.4839 0.8815
```

Principal peaks in the range 10° ≤ 2θ ≤ 90°, by angle:
2theta	I (rel.)	(hkl)
18.14	37	0 1 1
19.70	100	0 1 -1
25.04	51	1 1 -1
25.63	59	1 -1 1
27.28	62	1 0 2
27.55	46	1 2 0
28.84	65	0 1 2
29.42	40	0 2 1
29.90	38	2 1 1
31.86	54	2 0 0